Entry 1:
Starting from a cell relaxed with GGA-PBE, the powder XRD pattern of K4H3Br4 was simulated for Cu Ka.
Neutral-atom scattering factors, no anomalous dispersion.

Top 10 peaks for 2θ = 15–90°, in order of falling intensity:
2θ/deg  I (rel.)
35.52  100.0
45.04  98.3
21.56  88.0
26.79  87.1
27.84  79.6
39.02  60.2
34.65  50.4
17.53  48.5
22.07  46.0
67.38  27.5

Crystal structure
Unit cell a=13.312 b=5.220 c=5.220 alpha=75.74 beta=90.00 gamma=90.00
Sites, in units of the cell vectors:
1 K 0.000 0.000 0.000
2 K 0.244 0.562 0.562
3 K 0.500 0.982 0.982
4 K 0.756 0.562 0.562
5 H 0.183 0.218 0.218
6 H 0.500 0.317 0.317
7 H 0.817 0.218 0.218
8 Br 0.000 0.598 0.598
9 Br 0.253 0.967 0.967
10 Br 0.500 0.584 0.584
11 Br 0.747 0.967 0.967

***

Entry 2:
Starting from a cell relaxed with GGA-PBE, the powder XRD pattern of KH4Br2N was simulated for Cu Ka.
Neutral-atom scattering factors, no anomalous dispersion.

Top 10 peaks for 2θ = 15–90°, in order of falling intensity:
2θ/deg  I (rel.)
26.47  100.0
37.31  75.5
22.68  61.8
25.81  53.4
44.52  24.4
46.27  19.4
46.38  19.3
37.72  18.0
37.84  17.9
60.25  16.8

Crystal structure
Unit cell a=8.391 b=8.382 c=6.735 alpha=66.40 beta=66.26 gamma=47.35
Sites, in units of the cell vectors:
1 K 0.125 0.125 0.125
2 K 0.875 0.875 0.875
3 H 0.206 0.460 0.417
4 H 0.417 0.417 0.206
5 H 0.417 0.417 0.460
6 H 0.460 0.206 0.417
7 H 0.540 0.794 0.583
8 H 0.583 0.583 0.540
9 H 0.583 0.583 0.794
10 H 0.794 0.540 0.583
11 Br 0.126 0.126 0.624
12 Br 0.376 0.376 0.874
13 Br 0.624 0.624 0.126
14 Br 0.874 0.874 0.376
15 N 0.375 0.375 0.375
16 N 0.625 0.625 0.625

***

Entry 3:
Starting from a cell relaxed with GGA-PBE, the powder XRD pattern of KH6Br2N2 was simulated for Cu Ka.
Neutral-atom scattering factors, no anomalous dispersion.

Top 10 peaks for 2θ = 15–90°, in order of falling intensity:
2θ/deg  I (rel.)
15.86  100.0
16.39  62.4
28.89  39.7
27.96  36.4
33.12  33.6
33.78  25.2
36.51  20.3
32.03  20.0
33.52  14.7
42.95  12.5

Crystal structure
Unit cell a=5.845 b=6.215 c=6.866 alpha=114.28 beta=111.42 gamma=95.99
Sites, in units of the cell vectors:
1 K 0.000 0.000 0.000
2 H 0.078 0.748 0.467
3 H 0.284 0.720 0.687
4 H 0.320 0.990 0.692
5 H 0.680 0.010 0.308
6 H 0.716 0.280 0.313
7 H 0.922 0.252 0.533
8 Br 0.259 0.514 0.014
9 Br 0.741 0.486 0.986
10 N 0.186 0.837 0.650
11 N 0.814 0.163 0.350

***

Entry 4:
Starting from a cell relaxed with GGA-PBE, the powder XRD pattern of KH2OsBr4N was simulated for Cu Ka.
Neutral-atom scattering factors, no anomalous dispersion.

Top 10 peaks for 2θ = 15–90°, in order of falling intensity:
2θ/deg  I (rel.)
15.68  100.0
21.77  61.1
32.44  54.0
15.86  18.1
45.47  17.6
22.71  16.6
34.92  14.2
36.13  12.7
47.67  12.7
41.04  12.2

Crystal structure
Unit cell a=8.919 b=8.919 c=8.163 alpha=90.00 beta=90.00 gamma=118.59
Sites, in units of the cell vectors:
1 K 0.196 0.804 0.500
2 K 0.804 0.196 0.000
3 H 0.135 0.865 0.055
4 H 0.275 0.725 0.223
5 H 0.725 0.275 0.723
6 H 0.865 0.135 0.555
7 Os 0.303 0.697 0.014
8 Os 0.697 0.303 0.514
9 Br 0.013 0.347 0.550
10 Br 0.229 0.396 0.051
11 Br 0.347 0.013 0.050
12 Br 0.396 0.229 0.551
13 Br 0.604 0.771 0.051
14 Br 0.653 0.987 0.550
15 Br 0.771 0.604 0.551
16 Br 0.987 0.653 0.050
17 N 0.276 0.724 0.812
18 N 0.724 0.276 0.312

***

Entry 5:
Starting from a cell relaxed with GGA-PBE, the powder XRD pattern of KZnH4Br3O2 was simulated for Cu Ka.
Neutral-atom scattering factors, no anomalous dispersion.

Top 10 peaks for 2θ = 15–90°, in order of falling intensity:
2θ/deg  I (rel.)
27.39  100.0
27.04  83.8
27.57  81.7
28.07  45.1
34.15  41.7
41.35  34.0
44.78  32.1
16.89  29.2
24.73  24.3
16.47  24.1

Crystal structure
Unit cell a=6.804 b=12.716 c=11.401 alpha=90.00 beta=117.55 gamma=90.00
Sites, in units of the cell vectors:
1 K 0.230 0.166 0.492
2 K 0.230 0.334 0.992
3 K 0.770 0.666 0.008
4 K 0.770 0.834 0.508
5 Zn 0.500 0.072 0.236
6 Zn 0.500 0.428 0.736
7 Zn 0.500 0.572 0.264
8 Zn 0.500 0.928 0.764
9 H 0.002 0.645 0.720
10 H 0.002 0.855 0.220
11 H 0.155 0.646 0.652
12 H 0.155 0.854 0.152
13 H 0.277 0.730 0.302
14 H 0.277 0.770 0.802
15 H 0.383 0.656 0.433
16 H 0.383 0.844 0.933
17 H 0.617 0.156 0.067
18 H 0.617 0.344 0.567
19 H 0.723 0.230 0.198
20 H 0.723 0.270 0.698
21 H 0.845 0.146 0.848
22 H 0.845 0.354 0.348
23 H 0.998 0.145 0.780
24 H 0.998 0.355 0.280
25 Br 0.114 0.104 0.163
26 Br 0.114 0.396 0.663
27 Br 0.274 0.601 0.030
28 Br 0.274 0.899 0.530
29 Br 0.430 0.101 0.826
30 Br 0.430 0.399 0.326
31 Br 0.570 0.601 0.674
32 Br 0.570 0.899 0.174
33 Br 0.726 0.101 0.470
34 Br 0.726 0.399 0.970
35 Br 0.886 0.604 0.337
36 Br 0.886 0.896 0.837
37 O 0.083 0.693 0.689
38 O 0.083 0.807 0.189
39 O 0.409 0.685 0.361
40 O 0.409 0.815 0.861
41 O 0.591 0.185 0.139
42 O 0.591 0.315 0.639
43 O 0.917 0.193 0.811
44 O 0.917 0.307 0.311

***

Entry 6:
Starting from a cell relaxed with GGA-PBE, the powder XRD pattern of La8HOs3Br3 was simulated for Cu Ka.
Neutral-atom scattering factors, no anomalous dispersion.

Top 10 peaks for 2θ = 15–90°, in order of falling intensity:
2θ/deg  I (rel.)
29.13  100.0
43.53  37.4
39.74  30.2
36.72  19.5
53.24  18.4
71.13  15.4
49.85  12.6
60.40  8.8
45.14  8.5
76.41  7.8

Crystal structure
Unit cell a=8.319 b=8.319 c=9.153 alpha=117.08 beta=117.08 gamma=59.93
Sites, in units of the cell vectors:
1 La 0.225 0.735 0.695
2 La 0.234 0.234 0.703
3 La 0.264 0.264 0.305
4 La 0.265 0.775 0.305
5 La 0.735 0.225 0.695
6 La 0.736 0.736 0.695
7 La 0.766 0.766 0.297
8 La 0.775 0.265 0.305
9 H 0.500 0.500 0.500
10 Os 0.000 0.000 0.500
11 Os 0.000 0.500 0.500
12 Os 0.500 0.000 0.500
13 Br 0.000 0.500 0.000
14 Br 0.500 0.000 0.000
15 Br 0.500 0.500 0.000

***

Entry 7:
Starting from a cell relaxed with GGA-PBE, the powder XRD pattern of La8Tc3HBr4 was simulated for Cu Ka.
Neutral-atom scattering factors, no anomalous dispersion.

Top 10 peaks for 2θ = 15–90°, in order of falling intensity:
2θ/deg  I (rel.)
29.14  100.0
43.89  36.5
39.38  29.3
31.29  12.3
53.58  11.8
36.46  11.5
56.56  10.2
71.63  9.9
26.04  9.3
49.19  8.8

Crystal structure
Unit cell a=8.255 b=8.255 c=9.269 alpha=116.52 beta=116.52 gamma=59.92
Sites, in units of the cell vectors:
1 La 0.223 0.735 0.694
2 La 0.235 0.235 0.707
3 La 0.265 0.265 0.306
4 La 0.265 0.777 0.306
5 La 0.735 0.223 0.694
6 La 0.735 0.735 0.694
7 La 0.765 0.765 0.293
8 La 0.777 0.265 0.306
9 Tc 0.000 0.000 0.500
10 Tc 0.000 0.500 0.500
11 Tc 0.500 0.000 0.500
12 H 0.500 0.500 0.500
13 Br 0.000 0.000 0.000
14 Br 0.000 0.500 0.000
15 Br 0.500 0.000 0.000
16 Br 0.500 0.500 0.000

***

Entry 8:
Starting from a cell relaxed with GGA-PBE, the powder XRD pattern of LiH2Br2 was simulated for Cu Ka.
Neutral-atom scattering factors, no anomalous dispersion.

Top 10 peaks for 2θ = 15–90°, in order of falling intensity:
2θ/deg  I (rel.)
26.89  100.0
25.31  59.0
33.69  46.1
30.50  45.6
17.17  42.6
30.05  42.1
27.72  40.4
24.98  26.7
26.41  25.5
47.55  24.5

Crystal structure
Unit cell a=4.051 b=7.492 c=7.246 alpha=90.00 beta=100.34 gamma=90.00
Sites, in units of the cell vectors:
1 Li 0.099 0.000 0.446
2 Li 0.901 0.500 0.554
3 H 0.072 0.126 0.731
4 H 0.439 0.680 0.794
5 H 0.561 0.180 0.206
6 H 0.928 0.626 0.269
7 Br 0.270 0.557 0.908
8 Br 0.371 0.317 0.440
9 Br 0.629 0.817 0.560
10 Br 0.730 0.057 0.092

***

Entry 9:
Starting from a cell relaxed with GGA-PBE, the powder XRD pattern of Li5HBr4 was simulated for Cu Ka.
Neutral-atom scattering factors, no anomalous dispersion.

Top 10 peaks for 2θ = 15–90°, in order of falling intensity:
2θ/deg  I (rel.)
27.07  100.0
31.45  52.2
44.86  28.9
27.38  25.4
53.36  22.6
45.27  18.5
21.83  17.4
40.62  17.0
28.53  15.0
53.18  14.6

Crystal structure
Unit cell a=16.451 b=16.451 c=16.451 alpha=14.11 beta=14.11 gamma=14.11
Sites, in units of the cell vectors:
1 Li 0.000 0.000 0.000
2 Li 0.190 0.190 0.190
3 Li 0.404 0.404 0.404
4 Li 0.595 0.595 0.595
5 Li 0.785 0.785 0.785
6 H 0.747 0.747 0.747
7 Br 0.138 0.138 0.138
8 Br 0.353 0.353 0.353
9 Br 0.543 0.543 0.543
10 Br 0.948 0.948 0.948

***

Entry 10:
Starting from a cell relaxed with GGA-PBE, the powder XRD pattern of Li6H2BrN was simulated for Cu Ka.
Neutral-atom scattering factors, no anomalous dispersion.

Top 10 peaks for 2θ = 15–90°, in order of falling intensity:
2θ/deg  I (rel.)
21.83  100.0
31.81  55.9
19.39  48.0
22.52  47.6
31.34  39.6
18.58  36.6
37.71  33.8
18.95  30.3
39.36  26.9
37.12  26.0

Crystal structure
Unit cell a=5.905 b=5.620 c=9.766 alpha=90.00 beta=126.04 gamma=90.00
Sites, in units of the cell vectors:
1 Li 0.070 0.232 0.146
2 Li 0.070 0.268 0.646
3 Li 0.292 0.092 0.481
4 Li 0.292 0.408 0.981
5 Li 0.305 0.684 0.194
6 Li 0.305 0.816 0.694
7 Li 0.695 0.184 0.306
8 Li 0.695 0.316 0.806
9 Li 0.708 0.592 0.019
10 Li 0.708 0.908 0.519
11 Li 0.930 0.732 0.354
12 Li 0.930 0.768 0.854
13 H 0.333 0.000 0.299
14 H 0.333 0.500 0.799
15 H 0.667 0.000 0.701
16 H 0.667 0.500 0.201
17 Br 0.500 0.000 0.000
18 Br 0.500 0.500 0.500
19 N 0.000 0.000 0.500
20 N 0.000 0.500 0.000

***

Entry 11:
Starting from a cell relaxed with GGA-PBE, the powder XRD pattern of Li3H4Br3O2 was simulated for Cu Ka.
Neutral-atom scattering factors, no anomalous dispersion.

Top 10 peaks for 2θ = 15–90°, in order of falling intensity:
2θ/deg  I (rel.)
30.55  100.0
27.55  84.6
24.19  82.7
29.15  82.4
19.76  67.5
30.80  52.6
46.90  49.2
28.35  43.3
38.94  37.4
47.67  29.5

Crystal structure
Unit cell a=9.985 b=9.985 c=9.985 alpha=153.22 beta=37.85 gamma=153.75
Sites, in units of the cell vectors:
1 Li 0.000 0.000 0.000
2 Li 0.133 0.506 0.627
3 Li 0.879 0.506 0.373
4 H 0.009 0.858 0.152
5 H 0.051 0.203 0.848
6 H 0.354 0.203 0.152
7 H 0.706 0.858 0.848
8 Br 0.321 0.007 0.314
9 Br 0.693 0.007 0.686
10 Br 0.793 0.293 0.500
11 O 0.150 0.030 0.120
12 O 0.910 0.030 0.880

***

Entry 12:
Starting from a cell relaxed with GGA-PBE, the powder XRD pattern of LiSbTeHBr was simulated for Cu Ka.
Neutral-atom scattering factors, no anomalous dispersion.

Top 10 peaks for 2θ = 15–90°, in order of falling intensity:
2θ/deg  I (rel.)
21.86  100.0
28.10  51.2
28.62  49.8
31.58  39.5
31.28  37.9
46.94  20.9
35.04  19.3
40.53  17.5
43.97  17.0
49.77  16.8

Crystal structure
Unit cell a=4.119 b=4.389 c=7.700 alpha=79.41 beta=75.50 gamma=89.92
Sites, in units of the cell vectors:
1 Li 0.000 0.000 0.000
2 Sb 0.409 0.973 0.583
3 Te 0.026 0.211 0.330
4 H 0.438 0.609 0.522
5 Br 0.748 0.538 0.914